Computed powder diffraction line list of Li2CrF4 for Cu Kα X-rays, from a structure optimized by DFT (GGA+U).
No peak broadening, texture or thermal motion is included.

Peak list (10 most intense, 10 to 90 degrees two-theta, in order of falling intensity)
(hkl)  two_theta  I/Imax
0 1 1  24.10  100
2 0 1  22.88  64
1 0 -2  21.91  58
4 0 0  40.74  54
0 0 4  40.59  53
0 2 0  44.63  53
4 2 0  62.01  25
0 2 4  61.90  24
3 0 -1  31.39  21
1 0 1  14.49  21

Crystal structure
Cell lengths 8.8724, 4.0607, 8.9031 Å; angles 90.00, 93.06, 90.00 degrees
Atoms (fractional coordinates):
1 Li 0.0000 0.0000 0.0000
2 Li 0.0031 0.5000 0.7819
3 Li 0.0600 0.5000 0.2429
4 Li 0.2801 0.0000 0.2503
5 Li 0.4757 0.0000 0.4896
6 Li 0.5067 0.5000 0.2836
7 Li 0.7449 0.5000 0.9840
8 Li 0.7754 0.0000 0.7088
9 Cr 0.0528 0.0000 0.5120
10 Cr 0.2742 0.5000 0.9868
11 Cr 0.5068 0.5000 0.7258
12 Cr 0.7683 0.0000 0.2588
13 F 0.0044 0.5000 0.0117
14 F 0.0375 0.0000 0.2366
15 F 0.0390 0.5000 0.4725
16 F 0.2388 0.5000 0.7663
17 F 0.2438 0.0000 0.0142
18 F 0.2683 0.0000 0.4665
19 F 0.2852 0.5000 0.2168
20 F 0.5074 0.0000 0.2771
21 F 0.5096 0.5000 0.4997
22 F 0.5239 0.5000 0.9520
23 F 0.5452 0.0000 0.7036
24 F 0.7401 0.5000 0.2394
25 F 0.7755 0.5000 0.7665
26 F 0.7773 0.0000 0.0317
27 F 0.8149 0.0000 0.4873
28 F 0.9896 0.0000 0.7665